Structure and calculated powder XRD pattern of SmGd3 (the GGA-PBE geometry in the Materials Project; Cu Kα (λ = 1.5418 Å)).

Cell and atoms:
```
data_SmGd3
_chemical_formula_sum 'Sm2 Gd6'
_symmetry_space_group_name_H-M 'P 63/m m c'
_symmetry_Int_Tables_number 194
_symmetry_space_group_name_Hall '-P 6c 2c'
_cell_length_a 7.3169
_cell_length_b 7.3169
_cell_length_c 5.8413
_cell_angle_alpha 90.00
_cell_angle_beta 90.00
_cell_angle_gamma 120.00
loop_
_atom_site_label
_atom_site_type_symbol
_atom_site_fract_x
_atom_site_fract_y
_atom_site_fract_z
_atom_site_occupancy
Sm1 Sm 0.3333 0.6667 0.2500 1
Gd1 Gd 0.1664 0.3328 0.7500 1
```

Peak list (10 most intense, 5 to 70 degrees two-theta, low angle first)
28.2°, 3.168 Å, I = 23, (2 0 0); 30.6°, 2.921 Å, I = 25, (0 0 2); 32.1°, 2.785 Å, I = 100, (2 0 1); 42.1°, 2.147 Å, I = 16, (2 0 2); 49.9°, 1.829 Å, I = 20, (2 2 0); 55.4°, 1.659 Å, I = 21, (2 0 3); 59.6°, 1.550 Å, I = 23, (2 2 2); 60.6°, 1.529 Å, I = 16, (4 0 1); 63.7°, 1.460 Å, I = 3, (0 0 4); 67.2°, 1.393 Å, I = 4, (4 0 2)